(1)
Structure and calculated PXRD pattern of K2NiC2O10 (a cell relaxed with GGA+U; Cu Kα).

Cell and atoms:
```
30
Lattice="7.226 0.000 0.000 0.000 5.647 0.000 -2.128 0.000 11.303" Properties=species:S:1:pos:R:3 pbc="T T T"
K 1.415 0.937 2.009
K 0.351 1.886 7.660
K 4.747 3.761 3.643
K 3.683 4.710 9.295
Ni 2.549 0.000 5.652
Ni 3.613 2.824 0.000
C 0.913 3.949 4.114
C -0.151 4.522 9.766
C 5.250 1.125 1.538
C 4.186 1.698 7.189
O 0.225 3.319 3.307
O -0.839 5.151 8.958
O 0.291 4.008 5.411
O -0.773 4.463 11.063
O 2.065 3.746 0.751
O 1.001 4.724 6.402
O 1.829 1.413 4.906
O 0.765 1.410 10.557
O 0.961 3.923 9.632
O 2.025 4.548 3.981
O 3.074 1.099 7.323
O 4.138 1.724 1.671
O 4.333 4.237 0.746
O 3.269 4.234 6.398
O 4.097 0.923 4.901
O 3.033 1.901 10.553
O 5.871 1.184 0.240
O 4.808 1.639 5.892
O 5.937 0.496 2.345
O 4.874 2.328 7.997
```

Largest 10 diffraction maxima, by angle, 2θ from 5° to 70°:
| Position (°2θ) | I (rel.) | index |
| --- | --- | --- |
| 12.5 | 100.0 | 1 0 0 |
| 18.2 | 46.7 | 1 0 -2 |
| 20.7 | 80.9 | 1 1 -1 |
| 21.8 | 35.8 | 1 0 2 |
| 22.3 | 48.3 | 0 1 2 |
| 22.4 | 40.8 | 1 1 1 |
| 24.1 | 32.3 | 1 1 -2 |
| 28.5 | 54.9 | 0 1 3 |
| 29.5 | 46.1 | 2 1 -1 |
| 35.5 | 48.9 | 0 1 4 |

(2)
Structure and calculated PXRD pattern of K2NiC4S4O4 (a cell relaxed with GGA+U; Cu Kα).

Cell and atoms:
```
30
Lattice="11.136 0.000 0.000 0.000 4.396 0.000 -6.166 0.000 12.052" Properties=species:S:1:pos:R:3 pbc="T T T"
K 0.417 0.930 1.900
K -2.666 1.268 7.926
K 7.636 3.128 4.125
K 4.553 3.466 10.151
Ni 2.485 0.000 6.026
Ni 5.568 2.198 0.000
C -0.030 2.984 4.772
C -3.113 3.610 10.798
C 2.531 3.005 0.066
C -0.551 3.590 6.092
C 5.521 0.807 5.959
C 2.438 1.392 11.985
C 8.083 0.786 1.253
C 5.000 1.412 7.279
S 1.622 3.244 4.363
S -1.461 3.350 10.389
S 0.551 0.050 7.079
S 3.634 2.148 1.053
S 1.336 2.248 10.998
S 4.419 4.346 4.972
S 6.431 1.046 1.662
S 3.348 1.152 7.688
O -0.822 2.350 4.048
O -3.905 4.244 10.074
O 1.318 3.156 0.347
O -1.765 3.438 6.373
O 6.735 0.958 5.679
O 3.652 1.240 11.705
O 8.875 0.152 1.978
O 5.792 2.046 8.004
```

Largest 10 diffraction maxima, by angle, 2θ from 5° to 70°:
| Position (°2θ) | I (rel.) | index |
| --- | --- | --- |
| 13.3 | 54.9 | 1 0 -2 |
| 14.7 | 65.1 | 0 0 2 |
| 21.5 | 51.8 | 0 1 1 |
| 22.0 | 29.4 | 1 1 -1 |
| 24.6 | 100.0 | 1 1 1 |
| 25.1 | 89.0 | 0 1 2 |
| 30.1 | 39.9 | 0 1 3 |
| 33.7 | 29.7 | 2 1 -4 |
| 34.8 | 61.3 | 4 0 -4 |
| 50.5 | 38.2 | 2 2 2 |